Record 1
This entry pairs a crystal structure of Pu6H7N with its calculated PXRD pattern. Radiation: copper Kα. Structure: a PBE-relaxed structure.
Neutral-atom scattering factors, no anomalous dispersion.

Largest 8 diffraction maxima, sorted by position, 5° ≤ 2θ ≤ 70°:
2θ/deg, d_spacing, I/Imax
25.90, 3.439, 27
31.80, 2.814, 100
36.73, 2.447, 16
45.49, 1.994, 14
45.69, 1.986, 24
56.74, 1.622, 18
59.99, 1.542, 21
63.07, 1.474, 15

Structural model:
```
Pu6H7N
1.0
3.4395 1.9858 4.8942
-3.4395 1.9858 4.8942
0.0000 -3.9716 4.8942
Pu H N
6 7 1
direct
0.0041 0.6874 0.3085 Pu
0.1620 0.5336 0.8224 Pu
0.3085 0.0041 0.6874 Pu
0.5336 0.8224 0.1620 Pu
0.6874 0.3085 0.0041 Pu
0.8224 0.1620 0.5336 Pu
0.0043 0.3611 0.6561 H
0.1733 0.8510 0.4711 H
0.3611 0.6561 0.0043 H
0.4711 0.1733 0.8510 H
0.5841 0.5841 0.5841 H
0.6561 0.0043 0.3611 H
0.8510 0.4711 0.1733 H
0.9191 0.9191 0.9191 N
```

Record 2
This entry pairs a crystal structure of Pu3H4N3 with its calculated PXRD pattern. Radiation: copper Kα. Structure: a PBE-relaxed structure.
Neutral-atom scattering factors, no anomalous dispersion.

Largest 8 diffraction maxima, sorted by position, 5° ≤ 2θ ≤ 70°:
2θ/deg, d_spacing, I/Imax
28.60, 3.121, 100
33.15, 2.703, 13
37.19, 2.417, 31
44.34, 2.043, 24
53.61, 1.709, 28
56.46, 1.630, 16
61.89, 1.499, 23
67.06, 1.396, 7

Structural model:
```
Pu3H4N3
1.0
-3.8223 3.8223 3.8223
3.8223 -3.8223 3.8223
3.8223 3.8223 -3.8223
Pu H N
6 8 6
direct
0.1250 0.8750 0.2500 Pu
0.2500 0.1250 0.8750 Pu
0.3750 0.6250 0.7500 Pu
0.6250 0.7500 0.3750 Pu
0.7500 0.3750 0.6250 Pu
0.8750 0.2500 0.1250 Pu
0.0000 0.3457 0.5000 H
0.0000 0.8457 0.5000 H
0.1543 0.1543 0.1543 H
0.3457 0.5000 0.0000 H
0.5000 0.0000 0.3457 H
0.5000 0.0000 0.8457 H
0.6543 0.6543 0.6543 H
0.8457 0.5000 0.0000 H
0.1250 0.7500 0.8750 N
0.2500 0.6250 0.3750 N
0.3750 0.2500 0.6250 N
0.6250 0.3750 0.2500 N
0.7500 0.8750 0.1250 N
0.8750 0.1250 0.7500 N
```

Record 3
This entry pairs a crystal structure of RbH7N2 with its calculated PXRD pattern. Radiation: copper Kα. Structure: a PBE-relaxed structure.
Neutral-atom scattering factors, no anomalous dispersion.

Largest 8 diffraction maxima, sorted by position, 5° ≤ 2θ ≤ 70°:
2θ/deg, d_spacing, I/Imax
14.78, 5.994, 89
21.32, 4.167, 29
25.55, 3.486, 38
29.90, 2.988, 100
30.07, 2.971, 41
36.59, 2.456, 27
36.81, 2.442, 26
42.86, 2.110, 17

Structural model:
```
RbH7N2
1.0
2.2221 -5.9940 0.0000
2.2221 5.9940 0.0000
0.0000 0.0000 4.2856
Rb H N
1 7 2
direct
0.0000 0.0000 0.0000 Rb
0.1585 0.4757 0.5000 H
0.3637 0.6363 0.0000 H
0.4757 0.1585 0.5000 H
0.5000 0.5000 0.5000 H
0.5243 0.8415 0.5000 H
0.6363 0.3637 0.0000 H
0.8415 0.5243 0.5000 H
0.3924 0.6076 0.5000 N
0.6076 0.3924 0.5000 N
```

Record 4
This entry pairs a crystal structure of Rb3H12N5 with its calculated PXRD pattern. Radiation: copper Kα. Structure: a PBE-relaxed structure.
Neutral-atom scattering factors, no anomalous dispersion.

Largest 8 diffraction maxima, sorted by position, 5° ≤ 2θ ≤ 70°:
2θ/deg, d_spacing, I/Imax
21.50, 4.133, 100
27.87, 3.201, 47
30.59, 2.922, 32
33.11, 2.705, 58
37.70, 2.386, 25
39.83, 2.263, 37
45.70, 1.985, 38
56.00, 1.642, 25

Structural model:
```
Rb3H12N5
1.0
-5.0613 5.0613 5.0613
5.0613 -5.0613 5.0613
5.0613 5.0613 -5.0613
Rb H N
6 24 10
direct
0.0802 0.8302 0.2500 Rb
0.2500 0.0802 0.8302 Rb
0.4198 0.6698 0.7500 Rb
0.6698 0.7500 0.4198 Rb
0.7500 0.4198 0.6698 Rb
0.8302 0.2500 0.0802 Rb
0.0303 0.2913 0.8616 H
0.0573 0.6794 0.6351 H
0.0778 0.6221 0.4427 H
0.1687 0.6384 0.9297 H
0.2087 0.2390 0.5703 H
0.2390 0.5703 0.2087 H
0.2610 0.4697 0.3313 H
0.2913 0.8616 0.0303 H
0.3313 0.2610 0.4697 H
0.4222 0.8649 0.5442 H
0.4427 0.0778 0.6221 H
0.4697 0.3313 0.2610 H
0.5442 0.4222 0.8649 H
0.5703 0.2087 0.2390 H
0.6221 0.4427 0.0778 H
0.6351 0.0573 0.6794 H
0.6384 0.9297 0.1687 H
0.6794 0.6351 0.0573 H
0.8206 0.8779 0.9558 H
0.8616 0.0303 0.2913 H
0.8649 0.5442 0.4222 H
0.8779 0.9558 0.8206 H
0.9297 0.1687 0.6384 H
0.9558 0.8206 0.8779 H
0.0000 0.6580 0.5000 N
0.1659 0.7500 0.9159 N
0.2500 0.5841 0.3341 N
0.3341 0.2500 0.5841 N
0.5000 0.0000 0.6580 N
0.5841 0.3341 0.2500 N
0.6580 0.5000 0.0000 N
0.7500 0.9159 0.1659 N
0.8420 0.8420 0.8420 N
0.9159 0.1659 0.7500 N
```

Record 5
This entry pairs a crystal structure of RbH6N2 with its calculated PXRD pattern. Radiation: copper Kα. Structure: a PBE-relaxed structure.
Neutral-atom scattering factors, no anomalous dispersion.

Largest 8 diffraction maxima, sorted by position, 5° ≤ 2θ ≤ 70°:
2θ/deg, d_spacing, I/Imax
14.73, 6.015, 99
18.68, 4.749, 49
22.09, 4.024, 100
23.23, 3.828, 26
25.54, 3.488, 40
27.27, 3.270, 53
30.49, 2.932, 30
36.12, 2.487, 31

Structural model:
```
RbH6N2
1.0
0.0000 7.6567 3.8861
6.0545 0.0000 3.8861
6.0545 7.6567 0.0000
Rb H N
2 12 4
direct
0.0000 0.0000 0.0000 Rb
0.2500 0.2500 0.2500 Rb
0.0145 0.5705 0.9255 H
0.0865 0.6863 0.4911 H
0.3190 0.6758 0.4307 H
0.3245 0.7605 0.2355 H
0.5139 0.7589 0.5637 H
0.5705 0.0145 0.4895 H
0.6755 0.8193 0.5742 H
0.6758 0.3190 0.5745 H
0.6863 0.0865 0.7361 H
0.7589 0.5139 0.1635 H
0.7605 0.3245 0.6795 H
0.8193 0.6755 0.9310 H
0.2475 0.7719 0.3713 N
0.6407 0.8787 0.4781 N
0.7719 0.2475 0.6093 N
0.8787 0.6407 0.0025 N
```

Record 6
This entry pairs a crystal structure of RbH6SeN2 with its calculated PXRD pattern. Radiation: copper Kα. Structure: a PBE-relaxed structure.
Neutral-atom scattering factors, no anomalous dispersion.

Largest 8 diffraction maxima, sorted by position, 5° ≤ 2θ ≤ 70°:
2θ/deg, d_spacing, I/Imax
8.75, 10.109, 100
22.24, 3.998, 11
27.03, 3.298, 33
27.53, 3.240, 30
27.95, 3.193, 21
34.27, 2.616, 25
35.22, 2.548, 14
35.43, 2.534, 22

Structural model:
```
RbH6SeN2
1.0
3.3666 -10.1087 0.0000
3.3666 10.1087 0.0000
-3.2188 0.0000 4.3530
Rb H Se N
2 12 2 4
direct
0.0800 0.9200 0.7500 Rb
0.9200 0.0800 0.2500 Rb
0.0033 0.3927 0.9158 H
0.2222 0.6315 0.8922 H
0.2231 0.4841 0.9381 H
0.3685 0.7778 0.6078 H
0.3927 0.0033 0.4158 H
0.4841 0.2231 0.4381 H
0.5159 0.7769 0.5619 H
0.6073 0.9967 0.5842 H
0.6315 0.2222 0.3922 H
0.7769 0.5159 0.0619 H
0.7778 0.3685 0.1078 H
0.9967 0.6073 0.0842 H
0.4812 0.5188 0.2500 Se
0.5188 0.4812 0.7500 Se
0.1043 0.4540 0.8222 N
0.4540 0.1043 0.3222 N
0.5460 0.8957 0.6778 N
0.8957 0.5460 0.1778 N
```

Record 7
This entry pairs a crystal structure of Rb2SnH12N6 with its calculated PXRD pattern. Radiation: copper Kα. Structure: a PBE-relaxed structure.
Neutral-atom scattering factors, no anomalous dispersion.

Largest 8 diffraction maxima, sorted by position, 5° ≤ 2θ ≤ 70°:
2θ/deg, d_spacing, I/Imax
14.81, 5.982, 97
21.09, 4.212, 89
26.02, 3.425, 100
30.06, 2.972, 89
33.55, 2.671, 56
33.73, 2.657, 62
42.94, 2.106, 48
50.90, 1.794, 41

Structural model:
```
Rb2SnH12N6
1.0
6.8502 0.0000 0.0000
-3.4251 5.9324 0.0000
0.0000 0.0000 5.9821
Rb Sn H N
2 1 12 6
direct
0.3333 0.6667 0.1645 Rb
0.6667 0.3333 0.8355 Rb
0.0000 0.0000 0.0000 Sn
0.0326 0.2436 0.6321 H
0.1372 0.7391 0.7731 H
0.2110 0.9674 0.6321 H
0.2436 0.2110 0.3679 H
0.2609 0.3981 0.7731 H
0.3981 0.1372 0.2269 H
0.6019 0.8628 0.7731 H
0.7391 0.6019 0.2269 H
0.7564 0.7890 0.6321 H
0.7890 0.0326 0.3679 H
0.8628 0.2609 0.2269 H
0.9674 0.7564 0.3679 H
0.0889 0.3015 0.7909 N
0.2126 0.9111 0.7909 N
0.3015 0.2126 0.2091 N
0.6985 0.7874 0.7909 N
0.7874 0.0889 0.2091 N
0.9111 0.6985 0.2091 N
```

Record 8
This entry pairs a crystal structure of SiH17S3N5 with its calculated PXRD pattern. Radiation: copper Kα. Structure: a PBE-relaxed structure.
Neutral-atom scattering factors, no anomalous dispersion.

Largest 8 diffraction maxima, sorted by position, 5° ≤ 2θ ≤ 70°:
2θ/deg, d_spacing, I/Imax
14.46, 6.127, 71
15.97, 5.549, 49
23.65, 3.762, 60
27.24, 3.274, 100
27.48, 3.246, 45
27.91, 3.197, 71
31.06, 2.879, 54
31.99, 2.798, 63

Structural model:
```
SiH17S3N5
1.0
6.4272 0.0000 0.0000
-0.6122 6.5425 0.0000
-0.3929 -1.6361 13.0969
Si H S N
2 34 6 10
direct
0.1129 0.1826 0.1928 Si
0.8871 0.8174 0.8072 Si
0.0207 0.6917 0.4816 H
0.1050 0.4615 0.8749 H
0.1481 0.5334 0.4040 H
0.1924 0.7862 0.4070 H
0.2025 0.0884 0.6498 H
0.2234 0.2376 0.8766 H
0.2317 0.9592 0.0406 H
0.2381 0.8387 0.1456 H
0.2409 0.4187 0.9814 H
0.2871 0.6828 0.6989 H
0.2974 0.6424 0.5679 H
0.3260 0.1285 0.5463 H
0.3531 0.4482 0.6408 H
0.3728 0.4686 0.8749 H
0.4250 0.0249 0.1311 H
0.4602 0.1075 0.6513 H
0.4796 0.3267 0.3537 H
0.5204 0.6733 0.6463 H
0.5398 0.8925 0.3487 H
0.5750 0.9751 0.8689 H
0.6272 0.5314 0.1251 H
0.6469 0.5518 0.3592 H
0.6740 0.8715 0.4537 H
0.7026 0.3576 0.4321 H
0.7129 0.3172 0.3011 H
0.7591 0.5813 0.0186 H
0.7619 0.1613 0.8544 H
0.7683 0.0408 0.9594 H
0.7766 0.7624 0.1234 H
0.7975 0.9116 0.3502 H
0.8076 0.2138 0.5930 H
0.8519 0.4666 0.5960 H
0.8950 0.5385 0.1251 H
0.9793 0.3083 0.5184 H
0.1688 0.1391 0.3442 S
0.1979 0.8986 0.8634 S
0.2475 0.4618 0.1485 S
0.7525 0.5382 0.8515 S
0.8021 0.1014 0.1366 S
0.8312 0.8609 0.6558 S
0.1633 0.6701 0.4517 N
0.2365 0.3975 0.9005 N
0.2663 0.9807 0.1194 N
0.3316 0.1679 0.6239 N
0.3639 0.6106 0.6390 N
0.6361 0.3894 0.3610 N
0.6684 0.8321 0.3761 N
0.7337 0.0193 0.8806 N
0.7635 0.6025 0.0995 N
0.8367 0.3299 0.5483 N
```

Record 9
This entry pairs a crystal structure of Sc3HN2 with its calculated PXRD pattern. Radiation: copper Kα. Structure: a PBE-relaxed structure.
Neutral-atom scattering factors, no anomalous dispersion.

Largest 8 diffraction maxima, sorted by position, 5° ≤ 2θ ≤ 70°:
2θ/deg, d_spacing, I/Imax
33.99, 2.638, 32
34.24, 2.619, 67
34.45, 2.603, 31
39.44, 2.284, 100
40.30, 2.238, 48
57.01, 1.615, 28
57.35, 1.607, 28
57.97, 1.591, 27

Structural model:
```
Sc3HN2
1.0
5.3123 -1.6146 0.0000
5.3123 1.6146 0.0000
-3.6586 0.0000 8.1710
Sc H N
6 2 4
direct
0.0161 0.0161 0.2574 Sc
0.3370 0.3370 0.4261 Sc
0.3451 0.3451 0.9204 Sc
0.6549 0.6549 0.0796 Sc
0.6630 0.6630 0.5739 Sc
0.9839 0.9839 0.7426 Sc
0.3379 0.3379 0.1685 H
0.6621 0.6621 0.8315 H
0.0000 0.0000 0.0000 N
0.0000 0.0000 0.5000 N
0.3306 0.3306 0.6688 N
0.6694 0.6694 0.3312 N
```